Na2PbIO2: computed powder diffraction line list (λ = 1.5418 Å (Cu Kα)), based on DFT lattice parameters and positions (GGA-PBE).

Structure:
abc: 7.2404 4.8682 9.6840
angles: 90.00 109.53 90.00
Atoms (fractional coordinates):
Na  0.1035  0.2500  0.3472
Na  0.3954  0.7500  0.2777
Na  0.6046  0.2500  0.7223
Na  0.8965  0.7500  0.6528
Pb  0.1568  0.2500  0.9602
Pb  0.8432  0.7500  0.0398
I  0.2994  0.7500  0.5917
I  0.7006  0.2500  0.4083
O  0.1250  0.9997  0.1540
O  0.1250  0.5003  0.1540
O  0.8750  0.0003  0.8460
O  0.8750  0.4997  0.8460

Peak list (6 most intense, 2θ = 10–90°, most intense first)
2θ = 22.66°, I 100, (1 1 -1)
2θ = 26.18°, I 71, (1 1 1)
2θ = 26.78°, I 68, (0 1 2)
2θ = 32.03°, I 54, (2 1 0)
2θ = 19.45°, I 47, (0 0 2)
2θ = 18.66°, I 45, (1 0 1)